Structure and calculated PXRD pattern of Tb6Y3Er2Tl (the GGA-PBE geometry in Alexandria; Cu Kα).
Neutral-atom scattering factors, no anomalous dispersion.

Structure:
```
data_Tb6Y3Er2Tl
_chemical_formula_sum 'Tb12 Y6 Er4 Tl2'
_cell_length_a 6.121
_cell_length_b 10.615
_cell_length_c 11.631
_cell_angle_alpha 90.00
_cell_angle_beta 100.20
_cell_angle_gamma 90.00
_space_group_name_H-M_alt 'C 1 2/m 1'
_space_group_IT_number 12
_space_group_name_Hall '-C 2y'
loop_
_atom_site_label
_atom_site_type_symbol
_atom_site_fract_x
_atom_site_fract_y
_atom_site_fract_z
Tb1 Tb 0.246 0.165 0.246
Tb2 Tb 0.248 0.000 0.753
Y1 Y 0.000 0.167 0.500
Y2 Y 0.000 0.500 0.500
Er1 Er 0.000 0.334 0.000
Tl1 Tl 0.000 0.000 0.000
```

Most intense lines, 2θ from 5° to 70°, low angle first:
| h k l | two_theta | I_rel |
| --- | --- | --- |
| 0 0 1 | 7.7 | 18 |
| 1 3 1 | 31.0 | 100 |
| 0 0 4 | 31.3 | 33 |
| 2 0 2 | 36.0 | 67 |
| 0 6 0 | 51.7 | 24 |
| 2 0 -6 | 52.0 | 23 |
| 2 6 -2 | 61.5 | 9 |
| 4 0 0 | 61.6 | 23 |
| 1 3 -7 | 62.0 | 14 |
| 4 0 -4 | 64.6 | 12 |